1.
# NaSrInAs2
Computed powder diffraction line list, Cu Ka. Input: a structure optimized by DFT (PBE).

Structural model:
Cell: 16.165 4.474 10.899 Å, 90.00 130.15 90.00°
Space group C2/m (No. 12)
Inequivalent atoms, fractional coordinates:
Na 0.144 0.000 0.396
Sr 0.224 0.500 0.144
In 0.044 0.500 0.690
As 0.088 0.000 0.874
As 0.164 0.500 0.593

Peak list (10 most intense, 2θ from 15° to 90°, sorted by position)
- d = 4.207 Å, intensity 21
- d = 4.009 Å, intensity 37
- d = 3.462 Å, intensity 26
- d = 3.350 Å, intensity 40
- d = 2.819 Å, intensity 22
- d = 2.679 Å, intensity 100
- d = 2.643 Å, intensity 24
- d = 2.272 Å, intensity 75
- d = 2.237 Å, intensity 41
- d = 2.163 Å, intensity 20

2.
# Nd2InAs3Pt4
Computed powder diffraction line list, Cu Ka. Input: a structure optimized by DFT (PBE).

Structural model:
Cell: 4.308 4.308 10.953 Å, 90.00 90.00 90.00°
Space group P-4m2 (No. 115)
Inequivalent atoms, fractional coordinates:
Nd 0.000 0.500 0.229
In 0.000 0.000 0.500
As 0.000 0.500 0.870
As 0.500 0.500 0.500
Pt 0.000 0.000 0.000
Pt 0.000 0.500 0.648
Pt 0.500 0.500 0.000

Peak list (10 most intense, 2θ from 15° to 90°, sorted by position)
- d = 3.386 Å, intensity 16
- d = 2.785 Å, intensity 29
- d = 2.662 Å, intensity 100
- d = 2.154 Å, intensity 56
- d = 2.037 Å, intensity 31
- d = 1.953 Å, intensity 23
- d = 1.704 Å, intensity 14
- d = 1.523 Å, intensity 19
- d = 1.447 Å, intensity 18
- d = 1.322 Å, intensity 23